Record 1
Starting from DFT lattice parameters and positions (PBE), the powder X-ray diffraction pattern of ZnCdC4Se4N4 was calculated for copper Kα.
Lines closer than 0.1° are merged.

Peak list (8 most intense, 2θ from 10° to 80°, low angle first)
| 2θ (°) | I_rel |
| --- | --- |
| 11.0 | 32 |
| 15.5 | 25 |
| 24.6 | 20 |
| 25.0 | 100 |
| 29.5 | 28 |
| 33.5 | 22 |
| 43.6 | 22 |
| 44.1 | 31 |

Structural model:
abc: 8.4535 8.4535 8.4535
angles: 94.99 94.99 145.69
Element x y z (fractional)
1 Zn 0.0000 0.0000 0.0000
2 Cd 0.7500 0.2500 0.5000
3 C 0.1373 0.2843 0.7135
4 C 0.5708 0.4238 0.2865
5 C 0.5762 0.8627 0.1470
6 C 0.7157 0.4292 0.8530
7 Se 0.2184 0.4463 0.5469
8 Se 0.3285 0.7816 0.2279
9 Se 0.5537 0.1006 0.7721
10 Se 0.8994 0.6715 0.4531
11 N 0.0910 0.1811 0.8211
12 N 0.3600 0.2698 0.1789
13 N 0.7302 0.9090 0.0901
14 N 0.8189 0.6400 0.9099

Record 2
Starting from DFT lattice parameters and positions (PBE), the powder X-ray diffraction pattern of CeC was calculated for copper Kα.
Lines closer than 0.1° are merged.

Peak list (6 most intense, 2θ from 10° to 80°, low angle first)
| 2θ (°) | I_rel |
| --- | --- |
| 29.8 | 100 |
| 34.5 | 70 |
| 49.7 | 49 |
| 59.0 | 45 |
| 61.9 | 16 |
| 72.9 | 8 |

Structural model:
abc: 5.1921 5.1921 5.1921
angles: 90.00 90.00 90.00
Element x y z (fractional)
1 Ce 0.0000 0.0000 0.0000
2 Ce 0.0000 0.5000 0.5000
3 Ce 0.5000 0.0000 0.5000
4 Ce 0.5000 0.5000 0.0000
5 C 0.0000 0.0000 0.5000
6 C 0.0000 0.5000 0.0000
7 C 0.5000 0.0000 0.0000
8 C 0.5000 0.5000 0.5000

Record 3
Starting from DFT lattice parameters and positions (PBE), the powder X-ray diffraction pattern of Ce18C18Cl11 was calculated for copper Kα.
Lines closer than 0.1° are merged.

Peak list (8 most intense, 2θ from 10° to 80°, low angle first)
| 2θ (°) | I_rel |
| --- | --- |
| 12.0 | 87 |
| 25.6 | 59 |
| 25.8 | 59 |
| 27.3 | 67 |
| 29.6 | 59 |
| 29.7 | 64 |
| 30.0 | 60 |
| 32.9 | 100 |

Structural model:
abc: 6.6533 7.6146 18.7465
angles: 89.15 80.66 75.76
Element x y z (fractional)
1 Ce 0.0018 0.0571 0.2267
2 Ce 0.0912 0.8532 0.5605
3 Ce 0.1291 0.1861 0.0096
4 Ce 0.1741 0.6985 0.3461
5 Ce 0.2591 0.3119 0.7909
6 Ce 0.3085 0.7518 0.0996
7 Ce 0.3672 0.2210 0.5455
8 Ce 0.4300 0.8791 0.8861
9 Ce 0.4514 0.0670 0.3268
10 Ce 0.5486 0.9330 0.6732
11 Ce 0.5700 0.1209 0.1139
12 Ce 0.6328 0.7790 0.4545
13 Ce 0.6915 0.2482 0.9004
14 Ce 0.7409 0.6881 0.2091
15 Ce 0.8259 0.3015 0.6539
16 Ce 0.8709 0.8139 0.9904
17 Ce 0.9088 0.1468 0.4395
18 Ce 0.9982 0.9429 0.7733
19 C 0.0218 0.0017 0.9118
20 C 0.0992 0.1317 0.8703
21 C 0.1663 0.0444 0.6431
22 C 0.1936 0.1656 0.6932
23 C 0.2569 0.8927 0.4236
24 C 0.2925 0.0288 0.4652
25 C 0.3356 0.8290 0.2474
26 C 0.4124 0.9421 0.1967
27 C 0.4617 0.9343 0.0207
28 C 0.5383 0.0657 0.9793
29 C 0.5876 0.0579 0.8033
30 C 0.6644 0.1710 0.7526
31 C 0.7075 0.9712 0.5348
32 C 0.7431 0.1073 0.5764
33 C 0.8064 0.8344 0.3068
34 C 0.8337 0.9556 0.3569
35 C 0.9008 0.8683 0.1297
36 C 0.9782 0.9983 0.0882
37 Cl 0.0000 0.5000 0.5000
38 Cl 0.0612 0.3454 0.3183
39 Cl 0.1563 0.3915 0.1384
40 Cl 0.2825 0.5391 0.9545
41 Cl 0.3965 0.6603 0.7671
42 Cl 0.4786 0.5916 0.5872
43 Cl 0.5214 0.4084 0.4128
44 Cl 0.6035 0.3397 0.2329
45 Cl 0.7175 0.4609 0.0455
46 Cl 0.8437 0.6085 0.8616
47 Cl 0.9388 0.6546 0.6817

Record 4
Starting from DFT lattice parameters and positions (PBE), the powder X-ray diffraction pattern of Ce3CCl5 was calculated for copper Kα.
Lines closer than 0.1° are merged.

Peak list (8 most intense, 2θ from 10° to 80°, low angle first)
| 2θ (°) | I_rel |
| --- | --- |
| 12.7 | 37 |
| 18.1 | 39 |
| 24.3 | 100 |
| 24.5 | 49 |
| 25.1 | 22 |
| 32.8 | 43 |
| 41.4 | 23 |
| 41.6 | 43 |

Structural model:
abc: 8.2655 8.2655 15.8724
angles: 96.45 96.45 63.78
Element x y z (fractional)
1 Ce 0.0425 0.2142 0.4389
2 Ce 0.1548 0.4103 0.7984
3 Ce 0.2089 0.5026 0.0452
4 Ce 0.2142 0.0425 0.9389
5 Ce 0.4103 0.1548 0.2984
6 Ce 0.4974 0.7911 0.4548
7 Ce 0.5026 0.2089 0.5452
8 Ce 0.5897 0.8452 0.7016
9 Ce 0.7858 0.9575 0.0611
10 Ce 0.7911 0.4974 0.9548
11 Ce 0.8452 0.5897 0.2016
12 Ce 0.9575 0.7858 0.5611
13 C 0.1075 0.3512 0.9309
14 C 0.3512 0.1075 0.4309
15 C 0.6488 0.8925 0.5691
16 C 0.8925 0.6488 0.0691
17 Cl 0.0374 0.2181 0.2586
18 Cl 0.1217 0.8452 0.4192
19 Cl 0.1243 0.4006 0.5939
20 Cl 0.1548 0.8783 0.0808
21 Cl 0.2181 0.0374 0.7586
22 Cl 0.2198 0.5132 0.2334
23 Cl 0.3483 0.5964 0.9021
24 Cl 0.4006 0.1243 0.0939
25 Cl 0.4036 0.6517 0.5979
26 Cl 0.4868 0.7802 0.2666
27 Cl 0.5132 0.2198 0.7334
28 Cl 0.5964 0.3483 0.4021
29 Cl 0.5994 0.8757 0.9061
30 Cl 0.6517 0.4036 0.0979
31 Cl 0.7802 0.4868 0.7666
32 Cl 0.7819 0.9626 0.2414
33 Cl 0.8452 0.1217 0.9192
34 Cl 0.8757 0.5994 0.4061
35 Cl 0.8783 0.1548 0.5808
36 Cl 0.9626 0.7819 0.7414

Record 5
Starting from DFT lattice parameters and positions (PBE), the powder X-ray diffraction pattern of Ce8C8Cl5 was calculated for copper Kα.
Lines closer than 0.1° are merged.

Peak list (8 most intense, 2θ from 10° to 80°, low angle first)
| 2θ (°) | I_rel |
| --- | --- |
| 12.0 | 50 |
| 25.6 | 68 |
| 27.3 | 35 |
| 29.6 | 59 |
| 29.9 | 75 |
| 33.0 | 100 |
| 46.5 | 25 |
| 47.7 | 25 |

Structural model:
abc: 7.5888 16.5482 6.6543
angles: 90.00 104.54 90.00
Element x y z (fractional)
1 Ce 0.0762 0.1938 0.1292
2 Ce 0.0762 0.3062 0.6292
3 Ce 0.1503 0.0676 0.6200
4 Ce 0.1503 0.4324 0.1200
5 Ce 0.2195 0.5512 0.6121
6 Ce 0.2195 0.9488 0.1121
7 Ce 0.2936 0.6732 0.1031
8 Ce 0.2936 0.8268 0.6031
9 Ce 0.7064 0.1732 0.3969
10 Ce 0.7064 0.3268 0.8969
11 Ce 0.7805 0.0512 0.8879
12 Ce 0.7805 0.4488 0.3879
13 Ce 0.8497 0.5676 0.8800
14 Ce 0.8497 0.9324 0.3800
15 Ce 0.9238 0.6938 0.3708
16 Ce 0.9238 0.8062 0.8708
17 C 0.0297 0.0385 0.2234
18 C 0.0297 0.4615 0.7234
19 C 0.0381 0.6599 0.7667
20 C 0.0381 0.8401 0.2667
21 C 0.1025 0.5858 0.2212
22 C 0.1025 0.9142 0.7212
23 C 0.1551 0.7163 0.7160
24 C 0.1551 0.7837 0.2160
25 C 0.8449 0.2163 0.7840
26 C 0.8449 0.2837 0.2840
27 C 0.8975 0.0858 0.2788
28 C 0.8975 0.4142 0.7788
29 C 0.9619 0.1599 0.7333
30 C 0.9619 0.3401 0.2333
31 C 0.9703 0.5385 0.2766
32 C 0.9703 0.9615 0.7766
33 Cl 0.3574 0.2029 0.5247
34 Cl 0.3574 0.2971 0.0247
35 Cl 0.4153 0.0974 0.0208
36 Cl 0.4153 0.4026 0.5208
37 Cl 0.5000 0.0000 0.5000
38 Cl 0.5000 0.5000 0.0000
39 Cl 0.5847 0.5974 0.4792
40 Cl 0.5847 0.9026 0.9792
41 Cl 0.6426 0.7029 0.9753
42 Cl 0.6426 0.7971 0.4753

Record 6
Starting from DFT lattice parameters and positions (PBE), the powder X-ray diffraction pattern of Ce2CN3Cl was calculated for copper Kα.
Lines closer than 0.1° are merged.

Peak list (8 most intense, 2θ from 10° to 80°, low angle first)
| 2θ (°) | I_rel |
| --- | --- |
| 13.4 | 36 |
| 22.2 | 32 |
| 23.1 | 28 |
| 25.6 | 28 |
| 29.7 | 100 |
| 33.0 | 69 |
| 35.5 | 54 |
| 42.2 | 36 |

Structural model:
abc: 8.1388 8.1388 3.9050
angles: 90.00 90.00 109.10
Element x y z (fractional)
1 Ce 0.1348 0.8652 0.0000
2 Ce 0.2873 0.2873 0.5000
3 Ce 0.7127 0.7127 0.5000
4 Ce 0.8652 0.1348 0.0000
5 C 0.0000 0.5000 0.5000
6 C 0.5000 0.0000 0.5000
7 N 0.0052 0.6532 0.5000
8 N 0.1565 0.1565 0.0000
9 N 0.3468 0.9948 0.5000
10 N 0.6532 0.0052 0.5000
11 N 0.8435 0.8435 0.0000
12 N 0.9948 0.3468 0.5000
13 Cl 0.3775 0.6225 0.0000
14 Cl 0.6225 0.3775 0.0000

Record 7
Starting from DFT lattice parameters and positions (PBE), the powder X-ray diffraction pattern of CeCoC2 was calculated for copper Kα.
Lines closer than 0.1° are merged.

Peak list (8 most intense, 2θ from 10° to 80°, low angle first)
| 2θ (°) | I_rel |
| --- | --- |
| 24.0 | 34 |
| 24.5 | 35 |
| 32.2 | 100 |
| 34.0 | 33 |
| 34.6 | 64 |
| 36.2 | 52 |
| 36.8 | 93 |
| 49.2 | 54 |

Structural model:
abc: 5.2781 5.2780 7.3996
angles: 90.00 100.49 90.00
Element x y z (fractional)
1 Ce 0.0000 0.0660 0.0000
2 Ce 0.0000 0.9340 0.5000
3 Ce 0.5000 0.4340 0.5000
4 Ce 0.5000 0.5660 0.0000
5 Co 0.0550 0.4327 0.6953
6 Co 0.0550 0.5673 0.1953
7 Co 0.5550 0.0673 0.1953
8 Co 0.5550 0.9327 0.6953
9 C 0.3226 0.1835 0.7752
10 C 0.3226 0.8165 0.2752
11 C 0.4787 0.0752 0.9286
12 C 0.4787 0.9248 0.4286
13 C 0.8226 0.3165 0.2752
14 C 0.8226 0.6835 0.7752
15 C 0.9787 0.4248 0.4286
16 C 0.9787 0.5752 0.9286